Structure and simulated X-ray powder pattern of PmPrNd2Dy4 (the GGA-PBE geometry in Alexandria; λ = 1.5418 Å (Cu Kα)).
No peak broadening, texture or thermal motion is included.

Principal peaks in the range 10 to 90 degrees two-theta, low angle first:
30.28°, rel. 100
30.52°, rel. 33
35.18°, rel. 67
50.44°, rel. 24
50.75°, rel. 24
59.97°, rel. 14
60.11°, rel. 29
60.38°, rel. 14
62.99°, rel. 12
82.11°, rel. 12

Structure:
```
PmPrNd2Dy4
1.0
6.2677 -3.6178 0.0000
6.2677 3.6178 0.0000
-4.1840 0.0000 11.7179
Pm Pr Nd Dy
2 2 4 8
Cartesian
3.1339 1.8089 0.0000
3.1339 -1.8089 0.0000
0.0000 0.0000 0.0000
-2.0920 0.0000 5.8589
1.0419 1.8089 5.8589
1.0419 -1.8089 5.8589
6.2677 0.0000 0.0000
4.1757 0.0000 5.8589
2.0898 0.0000 2.9254
-0.0035 0.0000 8.7937
5.2203 1.8082 2.9246
3.1311 1.8082 8.7933
5.2203 -1.8082 2.9246
3.1311 -1.8082 8.7933
8.3549 0.0000 2.9242
6.2617 0.0000 8.7925
```